Record 1
Diffraction record for CsPu2I5. The XRD peak list is calculated, not measured: it uses DFT lattice parameters and positions (GGA-PBE) and Cu Kα, 1.54184 Å.

Structural model:
```
data_CsPu2I5
_symmetry_space_group_name_H-M 'I m m m'
_symmetry_Int_Tables_number 71
_symmetry_space_group_name_Hall '-I 2 2'
_cell_length_a 4.827
_cell_length_b 8.195
_cell_length_c 17.129
_cell_angle_alpha 90.00
_cell_angle_beta 90.00
_cell_angle_gamma 90.00
loop_
_atom_site_label
_atom_site_fract_x
_atom_site_fract_y
_atom_site_fract_z
Cs1 0.000 0.000 0.000
Pu1 0.000 0.500 0.188
I1 0.000 0.262 0.345
I2 0.000 0.500 0.000
```

Most intense lines, 2θ = 10–90°, by intensity:
two_theta	I (rel.)
29.1	100.0
32.7	63.3
39.0	53.4
21.4	51.7
31.3	44.0
18.9	42.8
23.8	38.9
37.3	38.1
10.3	34.5
30.2	33.8
32.0	27.6
49.5	24.5

=====

Record 2
Diffraction record for VMo4Rh5. The XRD peak list is calculated, not measured: it uses DFT lattice parameters and positions (GGA-PBE) and Cu Kα, 1.54184 Å.

Structural model:
```
data_VMo4Rh5
_symmetry_space_group_name_H-M 'P m m m'
_symmetry_Int_Tables_number 47
_cell_length_a 2.744
_cell_length_b 3.900
_cell_length_c 13.675
_cell_angle_alpha 90.00
_cell_angle_beta 90.00
_cell_angle_gamma 90.00
loop_
_symmetry_equiv_pos_as_xyz
'x,y,z'
'-x,-y,-z'
'-x,-y,z'
'x,y,-z'
'x,-y,-z'
'-x,y,z'
'-x,y,-z'
'x,-y,z'
loop_
_atom_site_label
_atom_site_fract_x
_atom_site_fract_y
_atom_site_fract_z
V1 0.000 0.000 0.000
Mo1 0.000 0.000 0.197
Mo2 0.000 0.000 0.398
Rh1 0.500 0.500 0.098
Rh2 0.500 0.500 0.299
Rh3 0.500 0.500 0.500
```

Most intense lines, 2θ = 10–90°, by intensity:
two_theta	I (rel.)
40.2	100.0
46.9	31.7
68.2	20.0
46.6	16.3
82.4	12.0
82.6	11.7
82.0	6.1
82.1	6.0
86.8	5.4
87.0	5.2
68.4	5.0
68.6	4.9

=====

Record 3
Diffraction record for Zn17Au12. The XRD peak list is calculated, not measured: it uses DFT lattice parameters and positions (GGA-PBE) and Cu Kα, 1.54184 Å.

Structural model:
```
data_Zn17Au12
_symmetry_space_group_name_H-M 'I -4 3 m'
_symmetry_Int_Tables_number 217
_symmetry_space_group_name_Hall 'I -4 2 3'
_cell_length_a 9.965
_cell_length_b 9.965
_cell_length_c 9.965
_cell_angle_alpha 90.00
_cell_angle_beta 90.00
_cell_angle_gamma 90.00
loop_
_atom_site_label
_atom_site_fract_x
_atom_site_fract_y
_atom_site_fract_z
Zn1 0.000 0.000 0.000
Zn2 0.067 0.363 0.363
Zn3 0.152 0.152 0.848
Au1 0.101 0.101 0.305
```

Most intense lines, 2θ = 10–90°, by intensity:
two_theta	I (rel.)
38.3	100.0
46.5	91.1
42.6	81.8
21.8	67.5
36.1	58.1
66.3	43.8
31.1	32.2
75.1	29.9
77.9	29.9
70.8	22.0
33.7	19.3
83.4	18.8

=====

Record 4
Diffraction record for K2IrBr5. The XRD peak list is calculated, not measured: it uses DFT lattice parameters and positions (GGA-PBE) and Cu Kα, 1.54184 Å.

Structural model:
```
data_K2IrBr5
_symmetry_space_group_name_H-M 'I 4 m m'
_symmetry_Int_Tables_number 107
_symmetry_space_group_name_Hall 'I 4 -2'
_cell_length_a 7.740
_cell_length_b 7.740
_cell_length_c 9.307
_cell_angle_alpha 90.00
_cell_angle_beta 90.00
_cell_angle_gamma 90.00
loop_
_atom_site_label
_atom_site_fract_x
_atom_site_fract_y
_atom_site_fract_z
K1 0.000 0.500 0.000
Ir1 0.000 0.000 0.264
Br1 0.000 0.000 0.521
Br2 0.227 0.227 0.247
```

Most intense lines, 2θ = 10–90°, by intensity:
two_theta	I (rel.)
14.9	100.0
32.7	54.2
19.1	29.8
30.0	27.5
51.6	27.4
16.2	25.4
43.3	24.2
27.5	21.5
31.1	19.9
25.1	19.1
38.2	17.9
47.0	17.8